Record 1
Diffraction record for Zr3Ni4Sb4. The X-ray diffraction stick pattern is simulated, not measured: it uses a DFT-relaxed cell (PBE, OQMD) and Cu Kα (λ = 1.5418 Å).
Neutral-atom scattering factors, no anomalous dispersion.

Atomic structure:
```
data_Zr3Ni4Sb4
_symmetry_space_group_name_H-M 'I -4 2 m'
_symmetry_Int_Tables_number 121
_symmetry_space_group_name_Hall 'I -4 2'
_cell_length_a 6.101
_cell_length_b 6.101
_cell_length_c 12.075
_cell_angle_alpha 90.00
_cell_angle_beta 90.00
_cell_angle_gamma 90.00
loop_
_atom_site_label
_atom_site_type_symbol
_atom_site_fract_x
_atom_site_fract_y
_atom_site_fract_z
Zr1 Zr 0.000 0.000 0.000
Zr2 Zr 0.000 0.500 0.250
Ni1 Ni 0.241 0.241 0.129
Sb1 Sb 0.000 0.000 0.262
Sb2 Sb 0.000 0.500 0.000
```

Most intense lines, 2θ from 15° to 90°, most intense first:
index, 2θ/deg, I_rel
2 0 4, 42.1, 100
2 2 0, 41.9, 52
1 1 2, 25.4, 42
2 0 0, 29.3, 34
4 2 4, 76.6, 32
4 0 0, 60.7, 17
0 0 4, 29.6, 16
2 2 8, 77.1, 15
2 2 4, 52.1, 13
3 1 2, 49.6, 13


Record 2
Diffraction record for Sc2Ni7. The X-ray diffraction stick pattern is simulated, not measured: it uses a DFT-relaxed cell (PBE, OQMD) and Cu Kα (λ = 1.5418 Å).
Neutral-atom scattering factors, no anomalous dispersion.

Atomic structure:
```
data_Sc2Ni7
_symmetry_space_group_name_H-M 'R -3 m'
_symmetry_Int_Tables_number 166
_symmetry_space_group_name_Hall '-R 3 2"'
_cell_length_a 4.7789
_cell_length_b 4.7789
_cell_length_c 35.5108
_cell_angle_alpha 90.00
_cell_angle_beta 90.00
_cell_angle_gamma 120.00
loop_
_atom_site_label
_atom_site_type_symbol
_atom_site_fract_x
_atom_site_fract_y
_atom_site_fract_z
Sc1 Sc 0.0000 0.0000 0.0504
Sc2 Sc 0.0000 0.0000 0.1475
Ni1 Ni 0.0000 0.0000 0.2776
Ni2 Ni 0.0000 0.0000 0.3892
Ni3 Ni 0.0000 0.0000 0.5000
Ni4 Ni 0.0000 0.5000 0.0000
Ni5 Ni 0.0027 0.5013 0.8886
```

Most intense lines, 2θ from 15° to 90°, most intense first:
index, 2θ/deg, I_rel
1 1 9, 44.3, 100
2 0 8, 48.5, 38
1 0 1, 21.6, 36
0 0 18, 46.0, 31
0 2 1, 43.8, 24
2 2 0, 80.4, 21
3 0 9, 72.6, 20
0 2 10, 51.1, 20
1 1 0, 37.6, 18
0 1 17, 48.8, 13


Record 3
Diffraction record for ScNi. The X-ray diffraction stick pattern is simulated, not measured: it uses a DFT-relaxed cell (PBE, OQMD) and Cu Kα (λ = 1.5418 Å).
Neutral-atom scattering factors, no anomalous dispersion.

Atomic structure:
```
data_ScNi
_symmetry_space_group_name_H-M 'P m -3 m'
_symmetry_Int_Tables_number 221
_symmetry_space_group_name_Hall '-P 4 2 3'
_cell_length_a 3.154
_cell_length_b 3.154
_cell_length_c 3.154
_cell_angle_alpha 90.00
_cell_angle_beta 90.00
_cell_angle_gamma 90.00
loop_
_atom_site_label
_atom_site_type_symbol
_atom_site_fract_x
_atom_site_fract_y
_atom_site_fract_z
Sc1 Sc 0.000 0.000 0.000
Ni1 Ni 0.500 0.500 0.500
```

Most intense lines, 2θ from 15° to 90°, most intense first:
index, 2θ/deg, I_rel
1 1 0, 40.4, 100
2 1 1, 73.6, 29
2 0 0, 58.5, 15
2 2 0, 87.5, 9
1 0 0, 28.3, 5
2 1 0, 66.3, 2
1 1 1, 50.1, 1


Record 4
Diffraction record for Sc2Ni7. The X-ray diffraction stick pattern is simulated, not measured: it uses a DFT-relaxed cell (PBE, OQMD) and Cu Kα (λ = 1.5418 Å).
Neutral-atom scattering factors, no anomalous dispersion.

Atomic structure:
```
data_Sc2Ni7
_symmetry_space_group_name_H-M 'P 63/m m c'
_symmetry_Int_Tables_number 194
_symmetry_space_group_name_Hall '-P 6c 2c'
_cell_length_a 4.7781
_cell_length_b 4.7781
_cell_length_c 23.6329
_cell_angle_alpha 90.00
_cell_angle_beta 90.00
_cell_angle_gamma 120.00
loop_
_atom_site_label
_atom_site_type_symbol
_atom_site_fract_x
_atom_site_fract_y
_atom_site_fract_z
Sc1 Sc 0.3333 0.6667 0.0286
Sc2 Sc 0.3333 0.6667 0.1745
Ni1 Ni 0.0000 0.0000 0.0000
Ni2 Ni 0.0000 0.0000 0.1660
Ni3 Ni 0.1665 0.3330 0.7500
Ni4 Ni 0.1681 0.3362 0.5828
Ni5 Ni 0.3333 0.6667 0.6662
```

Most intense lines, 2θ from 15° to 90°, most intense first:
index, 2θ/deg, I_rel
1 1 6, 44.3, 100
2 0 5, 48.0, 37
0 0 12, 46.1, 31
1 0 1, 21.8, 26
2 0 1, 43.9, 25
2 0 6, 49.8, 22
2 2 0, 80.4, 21
3 0 6, 72.6, 20
1 1 0, 37.7, 18
1 0 0, 21.5, 15


Record 5
Diffraction record for ZrScNiSn. The X-ray diffraction stick pattern is simulated, not measured: it uses a DFT-relaxed cell (PBE, OQMD) and Cu Kα (λ = 1.5418 Å).
Neutral-atom scattering factors, no anomalous dispersion.

Atomic structure:
```
data_ZrScNiSn
_symmetry_space_group_name_H-M 'F -4 3 m'
_symmetry_Int_Tables_number 216
_symmetry_space_group_name_Hall 'F -4 2 3'
_cell_length_a 6.732
_cell_length_b 6.732
_cell_length_c 6.732
_cell_angle_alpha 90.00
_cell_angle_beta 90.00
_cell_angle_gamma 90.00
loop_
_atom_site_label
_atom_site_type_symbol
_atom_site_fract_x
_atom_site_fract_y
_atom_site_fract_z
Zr1 Zr 0.000 0.000 0.000
Sc1 Sc 0.250 0.250 0.250
Ni1 Ni 0.250 0.250 0.750
Sn1 Sn 0.000 0.000 0.500
```

Most intense lines, 2θ from 15° to 90°, most intense first:
index, 2θ/deg, I_rel
2 2 0, 37.8, 100
4 2 2, 68.3, 34
4 0 0, 54.5, 17
2 0 0, 26.5, 13
4 4 0, 80.8, 11
4 2 0, 61.6, 6
2 2 2, 46.7, 4
6 0 0, 86.8, 3
1 1 1, 22.9, 2
3 1 1, 44.6, 2


Record 6
Diffraction record for ScTa2Ni. The X-ray diffraction stick pattern is simulated, not measured: it uses a DFT-relaxed cell (PBE, OQMD) and Cu Kα (λ = 1.5418 Å).
Neutral-atom scattering factors, no anomalous dispersion.

Atomic structure:
```
data_ScTa2Ni
_symmetry_space_group_name_H-M 'F -4 3 m'
_symmetry_Int_Tables_number 216
_symmetry_space_group_name_Hall 'F -4 2 3'
_cell_length_a 6.458
_cell_length_b 6.458
_cell_length_c 6.458
_cell_angle_alpha 90.00
_cell_angle_beta 90.00
_cell_angle_gamma 90.00
loop_
_atom_site_label
_atom_site_type_symbol
_atom_site_fract_x
_atom_site_fract_y
_atom_site_fract_z
Sc1 Sc 0.000 0.000 0.000
Ta1 Ta 0.000 0.000 0.500
Ta2 Ta 0.250 0.250 0.250
Ni1 Ni 0.250 0.250 0.750
```

Most intense lines, 2θ from 15° to 90°, most intense first:
index, 2θ/deg, I_rel
2 2 0, 39.5, 100
4 2 2, 71.6, 34
1 1 1, 23.9, 34
3 1 1, 46.6, 18
4 0 0, 57.0, 17
4 4 0, 85.0, 11
3 3 1, 62.7, 8
5 3 1, 89.9, 6
5 1 1, 76.7, 6


Record 7
Diffraction record for ScNiTe2. The X-ray diffraction stick pattern is simulated, not measured: it uses a DFT-relaxed cell (PBE, OQMD) and Cu Kα (λ = 1.5418 Å).
Neutral-atom scattering factors, no anomalous dispersion.

Atomic structure:
```
data_ScNiTe2
_symmetry_space_group_name_H-M 'P -3 m 1'
_symmetry_Int_Tables_number 164
_symmetry_space_group_name_Hall '-P 3 2"'
_cell_length_a 4.0133
_cell_length_b 4.0133
_cell_length_c 6.3188
_cell_angle_alpha 90.00
_cell_angle_beta 90.00
_cell_angle_gamma 120.00
loop_
_atom_site_label
_atom_site_type_symbol
_atom_site_fract_x
_atom_site_fract_y
_atom_site_fract_z
Sc1 Sc 0.0000 0.0000 0.0000
Ni1 Ni 0.0000 0.0000 0.5000
Te1 Te 0.3333 0.6667 0.7204
```

Most intense lines, 2θ from 15° to 90°, most intense first:
index, 2θ/deg, I_rel
1 0 1, 29.3, 100
0 1 2, 38.5, 61
1 1 0, 45.2, 43
1 0 3, 50.7, 20
0 2 1, 54.8, 17
2 0 2, 60.8, 15
2 1 1, 73.7, 14
1 2 2, 78.9, 14
1 1 4, 76.8, 11
2 1 3, 87.5, 8